1.
YHoPd2: calculated powder X-ray diffraction pattern (Cu Kα (λ = 1.5418 Å)), based on a DFT-relaxed cell (GGA-PBE, OQMD).
Kinematic intensities with the Lorentz-polarization factor, no thermal factor.

Atomic structure:
Cell lengths 4.471, 6.928, 5.683 Å; angles 90.00, 90.00, 90.00 degrees
Space group Pmn2_1 (No. 31)
Asymmetric unit:
Y 0.000 0.068 0.000 x2
Ho 0.000 0.569 0.217 x2
Pd 0.000 0.215 0.512 x2
Pd 0.000 0.703 0.704 x2

Top 12 peaks for 10° ≤ 2θ ≤ 90°, low angle first:
d_spacing, I_rel, hkl
6.928, 191, 0 1 0
3.134, 352, 1 1 1
2.738, 747, 1 2 0
2.629, 573, 0 1 2
2.467, 1000, 1 2 1
2.266, 867, 1 1 2
2.235, 515, 2 0 0
2.140, 243, 0 3 1
1.703, 309, 2 1 2
1.657, 224, 0 4 1
1.331, 353, 2 4 1
1.199, 180, 2 0 4

2.
SmTcOs: calculated powder X-ray diffraction pattern (Cu Kα (λ = 1.5418 Å)), based on a DFT-relaxed cell (GGA-PBE, OQMD).
Kinematic intensities with the Lorentz-polarization factor, no thermal factor.

Atomic structure:
Cell lengths 8.852, 5.327, 9.554 Å; angles 90.00, 90.00, 90.00 degrees
Space group Amm2 (No. 38)
Asymmetric unit:
Sm 0.183 0.000 0.000 x4
Sm 0.313 0.000 0.331 x4
Tc 0.249 0.000 0.667 x4
Tc 0.500 0.244 0.079 x4
Os 0.000 0.000 0.487 x2
Os 0.000 0.248 0.249 x4
Os 0.500 0.000 0.836 x2

Top 12 peaks for 10° ≤ 2θ ≤ 90°, low angle first:
d_spacing, I_rel, hkl
2.510, 265, 3 0 2
2.492, 730, 3 1 1
2.326, 1000, 2 1 3
2.306, 471, 1 0 4
2.282, 273, 2 2 0
2.250, 830, 1 2 2
2.213, 233, 4 0 0
2.059, 168, 2 2 2
1.464, 197, 2 3 3
1.422, 157, 5 0 4
1.409, 306, 5 2 2
1.367, 243, 0 2 6

3.
Cu4Ag: calculated powder X-ray diffraction pattern (Cu Kα (λ = 1.5418 Å)), based on a DFT-relaxed cell (GGA-PBE, OQMD).
Kinematic intensities with the Lorentz-polarization factor, no thermal factor.

Atomic structure:
Cell lengths 4.565, 13.330, 4.534 Å; angles 90.00, 108.79, 90.00 degrees
Space group C2/m (No. 12)
Asymmetric unit:
Cu 0.000 0.000 0.000 x2
Cu 0.000 0.093 0.500 x4
Cu 0.000 0.194 0.000 x4
Cu 0.000 0.406 0.000 x4
Cu 0.000 0.500 0.500 x2
Ag 0.000 0.304 0.500 x4

Top 12 peaks for 10° ≤ 2θ ≤ 90°, low angle first:
d_spacing, I_rel, hkl
2.162, 1000, 2 0 0
2.146, 331, 0 0 2
1.879, 420, 1 5 1
1.850, 204, 2 0 -2
1.333, 57, 0 10 0
1.324, 62, 2 0 2
1.322, 121, 3 5 -1
1.315, 127, 1 5 -3
1.135, 67, 2 10 0
1.132, 139, 3 5 1
1.127, 71, 1 5 3
1.119, 70, 3 5 -3

4.
Y2TmIn3Co3: calculated powder X-ray diffraction pattern (Cu Kα (λ = 1.5418 Å)), based on a DFT-relaxed cell (GGA-PBE, OQMD).
Kinematic intensities with the Lorentz-polarization factor, no thermal factor.

Atomic structure:
Cell lengths 3.833, 12.705, 7.375 Å; angles 90.00, 90.00, 90.00 degrees
Space group Amm2 (No. 38)
Asymmetric unit:
Y 0.000 0.204 0.000 x4
Tm 0.000 0.000 0.611 x2
In 0.500 0.000 0.948 x2
In 0.500 0.127 0.332 x4
Co 0.000 0.000 0.206 x2
Co 0.500 0.164 0.703 x4

Top 12 peaks for 10° ≤ 2θ ≤ 90°, low angle first:
d_spacing, I_rel, hkl
6.358, 119, 0 2 0
2.654, 1000, 1 0 2
2.449, 701, 1 4 0
2.413, 214, 0 1 3
2.405, 338, 0 4 2
2.126, 161, 0 3 3
2.040, 146, 1 4 2
1.917, 210, 2 0 0
1.500, 184, 2 1 3
1.369, 100, 1 1 5
1.364, 158, 1 8 2
1.207, 98, 3 0 2

5.
Pd5Se4: calculated powder X-ray diffraction pattern (Cu Kα (λ = 1.5418 Å)), based on a DFT-relaxed cell (GGA-PBE, OQMD).
Kinematic intensities with the Lorentz-polarization factor, no thermal factor.

Atomic structure:
Cell lengths 6.695, 4.669, 11.210 Å; angles 90.00, 101.77, 90.00 degrees
Space group P2_1/c (No. 14)
Asymmetric unit:
Pd 0.000 0.000 0.000 x2
Pd 0.225 0.165 0.678 x4
Pd 0.330 0.669 0.002 x4
Se 0.085 0.135 0.363 x4
Se 0.487 0.540 0.356 x4

Top 12 peaks for 10° ≤ 2θ ≤ 90°, low angle first:
d_spacing, I_rel, hkl
2.966, 987, 1 1 2
2.808, 1000, 1 1 -3
2.712, 536, 2 1 -1
2.682, 502, 2 1 0
2.587, 328, 2 1 -2
2.493, 465, 1 1 3
2.363, 422, 1 1 -4
1.911, 964, 3 0 -4
1.901, 760, 3 0 2
1.830, 673, 0 0 6
1.776, 290, 1 2 -4
1.541, 279, 0 3 1

6.
Lu6AgTe2: calculated powder X-ray diffraction pattern (Cu Kα (λ = 1.5418 Å)), based on a DFT-relaxed cell (GGA-PBE, OQMD).
Kinematic intensities with the Lorentz-polarization factor, no thermal factor.

Atomic structure:
Cell lengths 21.317, 4.001, 11.346 Å; angles 90.00, 90.00, 90.00 degrees
Space group Pnma (No. 62)
Asymmetric unit:
Lu 0.008 0.250 0.111 x4
Lu 0.028 0.750 0.378 x4
Lu 0.109 0.250 0.818 x4
Lu 0.140 0.750 0.062 x4
Lu 0.159 0.250 0.529 x4
Lu 0.232 0.750 0.740 x4
Ag 0.076 0.750 0.636 x4
Te 0.127 0.250 0.268 x4
Te 0.237 0.250 0.957 x4

Top 12 peaks for 10° ≤ 2θ ≤ 90°, low angle first:
d_spacing, I_rel, hkl
3.011, 217, 6 0 2
2.970, 634, 3 1 2
2.826, 1000, 5 1 1
2.744, 866, 2 0 4
2.663, 609, 8 0 0
2.594, 898, 5 1 2
2.563, 314, 3 1 3
2.406, 345, 6 1 2
2.362, 219, 5 0 4
2.001, 524, 0 2 0
1.913, 198, 6 0 5
1.616, 246, 2 2 4

Copy entry 1 word for word.
YHoPd2: calculated powder X-ray diffraction pattern (Cu Kα (λ = 1.5418 Å)), based on a DFT-relaxed cell (GGA-PBE, OQMD).
Kinematic intensities with the Lorentz-polarization factor, no thermal factor.

Atomic structure:
Cell lengths 4.471, 6.928, 5.683 Å; angles 90.00, 90.00, 90.00 degrees
Space group Pmn2_1 (No. 31)
Asymmetric unit:
Y 0.000 0.068 0.000 x2
Ho 0.000 0.569 0.217 x2
Pd 0.000 0.215 0.512 x2
Pd 0.000 0.703 0.704 x2

Top 12 peaks for 10° ≤ 2θ ≤ 90°, low angle first:
d_spacing, I_rel, hkl
6.928, 191, 0 1 0
3.134, 352, 1 1 1
2.738, 747, 1 2 0
2.629, 573, 0 1 2
2.467, 1000, 1 2 1
2.266, 867, 1 1 2
2.235, 515, 2 0 0
2.140, 243, 0 3 1
1.703, 309, 2 1 2
1.657, 224, 0 4 1
1.331, 353, 2 4 1
1.199, 180, 2 0 4

- What is the formula in the fourth record?
  Y2TmIn3Co3